Starting from a cell relaxed with GGA-PBE, the powder diffraction line list of Na2SrTlO4 was computed for Cu Kα (λ = 1.5418 Å).

Main lines, low angle first (2θ from 15° to 90°):
- 2θ 15.4, rel. 100
- 2θ 29.8, rel. 22
- 2θ 31.1, rel. 41
- 2θ 31.5, rel. 40
- 2θ 35.7, rel. 32
- 2θ 36.5, rel. 58
- 2θ 52.1, rel. 20
- 2θ 52.6, rel. 29

Structure:
```
data_Na2SrTlO4
_chemical_formula_sum 'Na4 Sr2 Tl2 O8'
_space_group_name_H-M_alt 'P 1'
_space_group_IT_number 1
_space_group_name_Hall 'P 1'
_cell_length_a 6.9569
_cell_length_b 6.9569
_cell_length_c 6.9659
_cell_angle_alpha 119.35
_cell_angle_beta 119.35
_cell_angle_gamma 89.88
loop_
_atom_site_label
_atom_site_type_symbol
_atom_site_fract_x
_atom_site_fract_y
_atom_site_fract_z
Na1 Na 0.0000 0.0000 0.0000
Na2 Na 0.0000 0.0000 0.5000
Na3 Na 0.0000 0.5000 0.0000
Na4 Na 0.5000 0.0000 0.5000
Sr1 Sr 0.0000 0.5000 0.5000
Sr2 Sr 0.5000 0.0000 0.0000
Tl1 Tl 0.5000 0.5000 0.0000
Tl2 Tl 0.5000 0.5000 0.5000
O1 O 0.2621 0.2679 0.9917
O2 O 0.2679 0.2621 0.4917
O3 O 0.2729 0.7229 0.9966
O4 O 0.2771 0.7271 0.5034
O5 O 0.7229 0.2729 0.4966
O6 O 0.7271 0.2771 0.0034
O7 O 0.7321 0.7379 0.5083
O8 O 0.7379 0.7321 0.0083
```